Theoretical XRD peak list
Compound: NaPH2O4
Radiation: λ = 1.5418 Å (Cu Kα)
Structure: a structure optimized by DFT (PBE)

Peak list (10 most intense, 2θ = 10–90°, sorted by position)
2θ (°), I/Imax
15.47, 35
16.78, 94
18.02, 42
20.20, 37
23.19, 40
26.50, 42
27.18, 63
28.41, 100
28.81, 51
33.91, 45

Structural model:
```
NaPH2O4
1.0
6.462 0.000 0.000
-2.041 6.399 0.000
-2.174 -1.345 9.320
Na P H O
4 4 8 16
Direct
0.066 0.166 0.365
0.256 0.443 0.090
0.744 0.557 0.910
0.934 0.834 0.635
0.249 0.727 0.412
0.489 0.905 0.713
0.511 0.095 0.287
0.751 0.273 0.588
0.176 0.872 0.067
0.211 0.790 0.924
0.216 0.342 0.774
0.330 0.191 0.844
0.670 0.809 0.156
0.784 0.658 0.226
0.789 0.210 0.076
0.824 0.128 0.933
0.073 0.829 0.418
0.144 0.740 0.003
0.182 0.512 0.330
0.301 0.125 0.202
0.304 0.912 0.781
0.329 0.337 0.859
0.388 0.721 0.574
0.454 0.879 0.358
0.546 0.121 0.642
0.612 0.279 0.426
0.671 0.663 0.141
0.696 0.088 0.219
0.699 0.875 0.798
0.818 0.488 0.670
0.856 0.260 0.997
0.927 0.171 0.582
```